Structure and theoretical powder diffraction line list of ErTiGaRh (a crystal structure in Alexandria, relaxed with GGA-PBE; Cu Kα (weighted mean of Kα1 and Kα2)).

Most intense lines, 10 to 90 degrees two-theta, in order of rising 2θ:
| d [Å] | I (rel.) | hkl |
| --- | --- | --- |
| 3.831 | 23.2 | 1 1 1 |
| 2.346 | 100.0 | 2 2 0 |
| 2.001 | 12.5 | 3 1 1 |
| 1.659 | 16.9 | 4 0 0 |
| 1.522 | 5.4 | 3 3 1 |
| 1.354 | 33.7 | 4 2 2 |
| 1.173 | 10.6 | 4 4 0 |
| 1.122 | 4.3 | 5 3 1 |

Structure:
Cell lengths 6.635, 6.635, 6.635 Å; angles 90.00, 90.00, 90.00 degrees
Sites, in units of the cell vectors:
1 Er 0.000 0.000 0.000
2 Er 0.000 0.500 0.500
3 Er 0.500 0.000 0.500
4 Er 0.500 0.500 0.000
5 Ti 0.000 0.000 0.500
6 Ti 0.000 0.500 0.000
7 Ti 0.500 0.000 0.000
8 Ti 0.500 0.500 0.500
9 Ga 0.250 0.250 0.750
10 Ga 0.250 0.750 0.250
11 Ga 0.750 0.250 0.250
12 Ga 0.750 0.750 0.750
13 Rh 0.250 0.250 0.250
14 Rh 0.250 0.750 0.750
15 Rh 0.750 0.250 0.750
16 Rh 0.750 0.750 0.250